Diffraction record for Cr2SbAs. The powder diffraction line list is calculated, not measured: it uses a PBE-relaxed structure and Cu Kα X-rays.
Peak positions follow from Bragg's law for the DFT cell and can differ from measured ones.

Main lines, low angle first (2θ from 15° to 90°):
2θ (°)  Rel. int.  h k l
31.08  100  1 0 1
41.14  64  1 0 2
47.71  45  1 1 0
54.50  19  1 0 3
58.04  16  2 0 1
64.79  15  2 0 2
83.03  16  1 1 4
84.33  14  2 1 2

Structure:
a = 3.8125 Å, b = 3.8125 Å, c = 5.8721 Å
α = 90.00°, β = 90.00°, γ = 120.00°
Space group P-6m2 (No. 187)
One atom of each set of equivalent atoms:
Cr 0.0000 0.0000 0.2339 (multiplicity 2)
Sb 0.3333 0.6667 0.5000 (multiplicity 1)
As 0.6667 0.3333 0.0000 (multiplicity 1)